# Pr5CdRh2
Calculated X-ray powder pattern, CuKα. Input: a cell relaxed with PBE.

Peak list (8 most intense, 2θ from 10° to 90°, by angle)
3.481 Å, intensity 24
3.279 Å, intensity 36
3.062 Å, intensity 30
2.912 Å, intensity 41
2.857 Å, intensity 100
2.567 Å, intensity 34
2.021 Å, intensity 26
1.909 Å, intensity 37

Structural model:
abc: 6.8872 6.8872 14.0674
angles: 90.00 90.00 131.03
Fractional coordinates of all 16 atoms:
Pr: 0.0580 0.9420 0.6244
Pr: 0.0580 0.9420 0.8756
Pr: 0.2320 0.7680 0.2500
Pr: 0.3530 0.6470 0.5510
Pr: 0.3530 0.6470 0.9490
Pr: 0.6470 0.3530 0.0510
Pr: 0.6470 0.3530 0.4490
Pr: 0.7680 0.2320 0.7500
Pr: 0.9420 0.0580 0.1244
Pr: 0.9420 0.0580 0.3756
Cd: 0.4973 0.5027 0.2500
Cd: 0.5027 0.4973 0.7500
Rh: 0.1564 0.8436 0.0586
Rh: 0.1564 0.8436 0.4414
Rh: 0.8436 0.1564 0.5586
Rh: 0.8436 0.1564 0.9414



# NaCu4Ag3Cl12
Calculated X-ray powder pattern, CuKα. Input: a cell relaxed with PBE.

Peak list (8 most intense, 2θ from 10° to 90°, by angle)
6.763 Å, intensity 29
4.051 Å, intensity 70
3.811 Å, intensity 100
2.999 Å, intensity 23
2.727 Å, intensity 47
2.306 Å, intensity 22
2.059 Å, intensity 20
1.876 Å, intensity 29

Structural model:
abc: 8.4961 8.4961 8.4961
angles: 105.51 105.51 105.51
Fractional coordinates of all 20 atoms:
Na: 0.0000 0.0000 0.0000
Cu: 0.0752 0.5000 0.9248
Cu: 0.5000 0.5000 0.5000
Cu: 0.5000 0.9248 0.0752
Cu: 0.9248 0.0752 0.5000
Ag: 0.0000 0.5631 0.4369
Ag: 0.4369 0.0000 0.5631
Ag: 0.5631 0.4369 0.0000
Cl: 0.0164 0.6572 0.7715
Cl: 0.0880 0.9120 0.5000
Cl: 0.2285 0.3428 0.9836
Cl: 0.3384 0.6616 0.5000
Cl: 0.3428 0.9836 0.2285
Cl: 0.5000 0.0880 0.9120
Cl: 0.5000 0.3384 0.6616
Cl: 0.6572 0.7715 0.0164
Cl: 0.6616 0.5000 0.3384
Cl: 0.7715 0.0164 0.6572
Cl: 0.9120 0.5000 0.0880
Cl: 0.9836 0.2285 0.3428



# K2RbGa2
Calculated X-ray powder pattern, CuKα. Input: a cell relaxed with PBE.

Peak list (8 most intense, 2θ from 10° to 90°, by angle)
7.195 Å, intensity 100
3.703 Å, intensity 93
3.597 Å, intensity 63
2.785 Å, intensity 75
2.443 Å, intensity 94
2.007 Å, intensity 30
1.753 Å, intensity 30
1.665 Å, intensity 32

Structural model:
abc: 14.6672 14.6672 14.6672
angles: 164.27 164.27 22.32
Fractional coordinates of all 5 atoms:
K: 0.1450 0.1450 0.0000
K: 0.8550 0.8550 0.0000
Rb: 0.5000 0.5000 0.0000
Ga: 0.2500 0.7500 0.5000
Ga: 0.7500 0.2500 0.5000



# Ta2NbC2
Calculated X-ray powder pattern, CuKα. Input: a cell relaxed with PBE.

Peak list (8 most intense, 2θ from 10° to 90°, by angle)
2.566 Å, intensity 100
2.560 Å, intensity 33
2.251 Å, intensity 28
2.207 Å, intensity 52
1.576 Å, intensity 36
1.353 Å, intensity 14
1.334 Å, intensity 17
1.332 Å, intensity 18

Structural model:
abc: 5.4288 5.4288 5.4781
angles: 100.23 100.23 119.49
Fractional coordinates of all 10 atoms:
Ta: 0.0742 0.9258 0.7500
Ta: 0.2513 0.7487 0.2500
Ta: 0.7487 0.2513 0.7500
Ta: 0.9258 0.0742 0.2500
Nb: 0.4239 0.5761 0.7500
Nb: 0.5761 0.4239 0.2500
C: 0.1631 0.3301 0.9999
C: 0.3301 0.1631 0.4999
C: 0.6699 0.8369 0.5001
C: 0.8369 0.6699 0.0001



# Pr2Dy3Er9
Calculated X-ray powder pattern, CuKα. Input: a cell relaxed with PBE.

Peak list (8 most intense, 2θ from 10° to 90°, by angle)
3.011 Å, intensity 16
2.920 Å, intensity 31
2.893 Å, intensity 61
2.877 Å, intensity 100
2.708 Å, intensity 35
2.650 Å, intensity 23
2.622 Å, intensity 16
2.578 Å, intensity 25

Structural model:
abc: 5.3586 8.3121 10.6256
angles: 97.46 100.62 98.03
Fractional coordinates of all 14 atoms:
Pr: 0.0000 0.0000 0.0000
Pr: 0.0326 0.9582 0.4815
Dy: 0.2265 0.5733 0.5749
Dy: 0.5163 0.9789 0.2409
Dy: 0.8073 0.3835 0.9067
Er: 0.0373 0.2916 0.3069
Er: 0.1943 0.2678 0.7523
Er: 0.4068 0.6729 0.9412
Er: 0.4309 0.3481 0.1042
Er: 0.5197 0.9785 0.7387
Er: 0.6032 0.6104 0.3780
Er: 0.6270 0.2847 0.5400
Er: 0.8398 0.6881 0.7294
Er: 0.9961 0.6660 0.1743



# Pu2Ga5Rh3
Calculated X-ray powder pattern, CuKα. Input: a cell relaxed with PBE.

Peak list (8 most intense, 2θ from 10° to 90°, by angle)
2.608 Å, intensity 21
2.534 Å, intensity 78
2.523 Å, intensity 100
2.327 Å, intensity 33
2.321 Å, intensity 30
2.152 Å, intensity 44
1.580 Å, intensity 20
1.304 Å, intensity 23

Structural model:
abc: 12.5871 12.5871 6.7244
angles: 90.00 90.00 160.32
Fractional coordinates of all 20 atoms:
Pu: 0.0207 0.9793 0.5000
Pu: 0.3263 0.6737 0.5673
Pu: 0.6737 0.3263 0.0673
Pu: 0.9793 0.0207 0.0000
Ga: 0.1026 0.8974 0.8645
Ga: 0.2063 0.7937 0.3828
Ga: 0.2093 0.7907 0.7793
Ga: 0.3730 0.6270 0.0219
Ga: 0.4469 0.5531 0.6732
Ga: 0.5531 0.4469 0.1732
Ga: 0.6270 0.3730 0.5219
Ga: 0.7907 0.2093 0.2793
Ga: 0.7937 0.2063 0.8828
Ga: 0.8974 0.1026 0.3645
Rh: 0.1076 0.8924 0.2579
Rh: 0.2716 0.7284 0.0837
Rh: 0.4506 0.5494 0.2812
Rh: 0.5494 0.4506 0.7812
Rh: 0.7284 0.2716 0.5837
Rh: 0.8924 0.1076 0.7579